Diffraction record for K2CaMgF6. The powder XRD pattern is calculated, not measured: it uses a cell relaxed with GGA-PBE and λ = 1.5418 Å (Cu Kα).

Structural model:
Lattice parameters (Å, degrees): 4.314 4.314 8.455 90.00 90.00 90.00
Element x y z (fractional)
K (0.000, 0.000, 0.235)
K (0.000, 0.000, 0.765)
Ca (0.500, 0.500, 0.500)
Mg (0.500, 0.500, 0.000)
F (0.000, 0.500, 0.000)
F (0.000, 0.500, 0.500)
F (0.500, 0.000, 0.000)
F (0.500, 0.000, 0.500)
F (0.500, 0.500, 0.230)
F (0.500, 0.500, 0.770)

Main lines, sorted by position (15 to 90 degrees two-theta):
d (Å)  I/Imax
3.050  49
3.019  94
2.474  73
2.157  100
2.114  43
1.510  49



Diffraction record for KCa2PbF8. The powder XRD pattern is calculated, not measured: it uses a cell relaxed with GGA-PBE and λ = 1.5418 Å (Cu Kα).

Structural model:
Lattice parameters (Å, degrees): 4.089 5.728 7.921 90.00 90.00 90.00
Element x y z (fractional)
K (0.000, 0.000, 0.000)
Ca (0.500, 0.500, 0.237)
Ca (0.500, 0.500, 0.763)
Pb (0.000, 0.000, 0.500)
F (0.000, 0.268, 0.277)
F (0.000, 0.268, 0.723)
F (0.000, 0.732, 0.277)
F (0.000, 0.732, 0.723)
F (0.500, 0.236, 0.500)
F (0.500, 0.277, 0.000)
F (0.500, 0.723, 0.000)
F (0.500, 0.764, 0.500)

Main lines, sorted by position (15 to 90 degrees two-theta):
d (Å)  I/Imax
4.642  64
3.634  38
3.328  99
3.258  99
2.018  100
1.731  47



Diffraction record for K2CaPmF6. The powder XRD pattern is calculated, not measured: it uses a cell relaxed with GGA-PBE and λ = 1.5418 Å (Cu Kα).

Structural model:
Lattice parameters (Å, degrees): 6.262 6.446 6.509 63.01 61.38 61.15
Element x y z (fractional)
K (0.221, 0.263, 0.305)
K (0.779, 0.737, 0.695)
Ca (0.500, 0.500, 0.500)
Pm (0.000, 0.000, 0.000)
F (0.198, 0.305, 0.738)
F (0.237, 0.702, 0.265)
F (0.264, 0.801, 0.701)
F (0.736, 0.199, 0.299)
F (0.763, 0.298, 0.735)
F (0.802, 0.695, 0.262)

Main lines, sorted by position (15 to 90 degrees two-theta):
d (Å)  I/Imax
5.162  100
4.597  84
3.385  50
3.252  86
3.224  86
2.299  88



Diffraction record for K2CaYF6. The powder XRD pattern is calculated, not measured: it uses a cell relaxed with GGA-PBE and λ = 1.5418 Å (Cu Kα).

Structural model:
Lattice parameters (Å, degrees): 6.459 6.459 6.459 120.12 119.86 90.02
Element x y z (fractional)
K (0.250, 0.250, 0.000)
K (0.750, 0.750, 0.000)
Ca (0.500, 0.000, 0.500)
Y (0.000, 0.500, 0.500)
F (0.244, 0.256, 0.500)
F (0.244, 0.744, 0.500)
F (0.244, 0.744, 0.988)
F (0.756, 0.256, 0.012)
F (0.756, 0.256, 0.500)
F (0.756, 0.744, 0.500)

Main lines, sorted by position (15 to 90 degrees two-theta):
d (Å)  I/Imax
5.274  23
4.568  40
3.231  100
2.284  78
1.867  23
1.615  31



Diffraction record for K2CaZn3F12. The powder XRD pattern is calculated, not measured: it uses a cell relaxed with GGA-PBE and λ = 1.5418 Å (Cu Kα).

Structural model:
Lattice parameters (Å, degrees): 7.194 7.194 7.194 63.43 63.43 63.43
Element x y z (fractional)
K (0.123, 0.123, 0.123)
K (0.877, 0.877, 0.877)
Ca (0.500, 0.500, 0.500)
Zn (0.000, 0.500, 0.500)
Zn (0.500, 0.000, 0.500)
Zn (0.500, 0.500, 0.000)
F (0.118, 0.613, 0.613)
F (0.209, 0.209, 0.597)
F (0.209, 0.597, 0.209)
F (0.387, 0.387, 0.882)
F (0.387, 0.882, 0.387)
F (0.403, 0.791, 0.791)
F (0.597, 0.209, 0.209)
F (0.613, 0.118, 0.613)
F (0.613, 0.613, 0.118)
F (0.791, 0.403, 0.791)
F (0.791, 0.791, 0.403)
F (0.882, 0.387, 0.387)

Main lines, sorted by position (15 to 90 degrees two-theta):
d (Å)  I/Imax
5.717  50
3.217  100
3.154  73
3.060  56
1.891  68
1.794  37



Diffraction record for K4CaZn3F12. The powder XRD pattern is calculated, not measured: it uses a cell relaxed with GGA-PBE and λ = 1.5418 Å (Cu Kα).

Structural model:
Lattice parameters (Å, degrees): 7.300 7.300 7.300 109.47 109.47 109.47
Element x y z (fractional)
K (0.000, 0.000, 0.500)
K (0.000, 0.500, 0.000)
K (0.500, 0.000, 0.000)
K (0.500, 0.500, 0.500)
Ca (0.000, 0.000, 0.000)
Zn (0.000, 0.500, 0.500)
Zn (0.500, 0.000, 0.500)
Zn (0.500, 0.500, 0.000)
F (0.000, 0.262, 0.262)
F (0.000, 0.738, 0.738)
F (0.250, 0.500, 0.750)
F (0.250, 0.750, 0.500)
F (0.262, 0.000, 0.262)
F (0.262, 0.262, 0.000)
F (0.500, 0.250, 0.750)
F (0.500, 0.750, 0.250)
F (0.738, 0.000, 0.738)
F (0.738, 0.738, 0.000)
F (0.750, 0.250, 0.500)
F (0.750, 0.500, 0.250)

Main lines, sorted by position (15 to 90 degrees two-theta):
d (Å)  I/Imax
4.215  31
2.980  100
2.107  64
1.721  37
1.490  36
1.126  18



Diffraction record for NaCaLaF6. The powder XRD pattern is calculated, not measured: it uses a cell relaxed with GGA-PBE and λ = 1.5418 Å (Cu Kα).

Structural model:
Lattice parameters (Å, degrees): 6.141 6.141 3.785 90.00 90.00 120.00
Element x y z (fractional)
Na (0.000, 0.000, 0.000)
Ca (0.333, 0.667, 0.242)
La (0.667, 0.333, 0.724)
F (0.083, 0.697, 0.736)
F (0.303, 0.386, 0.736)
F (0.391, 0.081, 0.227)
F (0.614, 0.917, 0.736)
F (0.690, 0.609, 0.227)
F (0.919, 0.310, 0.227)

Main lines, sorted by position (15 to 90 degrees two-theta):
d (Å)  I/Imax
5.318  100
3.084  80
3.070  53
2.385  33
2.176  71
1.774  85



Diffraction record for CaLa2PbF. The powder XRD pattern is calculated, not measured: it uses a cell relaxed with GGA-PBE and λ = 1.5418 Å (Cu Kα).

Structural model:
Lattice parameters (Å, degrees): 6.451 6.451 4.701 90.00 90.00 90.00
Element x y z (fractional)
Ca (0.000, 0.000, 0.000)
La (0.000, 0.500, 0.500)
La (0.500, 0.000, 0.500)
Pb (0.500, 0.500, 0.500)
F (0.500, 0.500, 0.000)

Main lines, sorted by position (15 to 90 degrees two-theta):
d (Å)  I/Imax
4.701  72
3.799  52
3.225  100
2.660  71
2.281  39
1.900  44



Diffraction record for Li2Ca5F12. The powder XRD pattern is calculated, not measured: it uses a cell relaxed with GGA-PBE and λ = 1.5418 Å (Cu Kα).

Structural model:
Lattice parameters (Å, degrees): 6.910 6.910 7.391 105.46 105.46 50.40
Element x y z (fractional)
Li (0.219, 0.781, 0.000)
Li (0.781, 0.219, 0.000)
Ca (0.000, 0.000, 0.500)
Ca (0.313, 0.313, 0.154)
Ca (0.318, 0.318, 0.659)
Ca (0.682, 0.682, 0.341)
Ca (0.687, 0.687, 0.846)
F (0.003, 0.003, 0.801)
F (0.093, 0.565, 0.908)
F (0.094, 0.594, 0.427)
F (0.406, 0.906, 0.573)
F (0.435, 0.907, 0.092)
F (0.498, 0.498, 0.200)
F (0.502, 0.502, 0.800)
F (0.565, 0.093, 0.908)
F (0.594, 0.094, 0.427)
F (0.906, 0.406, 0.573)
F (0.907, 0.435, 0.092)
F (0.997, 0.997, 0.199)

Main lines, sorted by position (15 to 90 degrees two-theta):
d (Å)  I/Imax
3.299  87
3.130  71
2.260  42
1.993  100
1.848  26
1.658  25



Diffraction record for LiCa4F10. The powder XRD pattern is calculated, not measured: it uses a cell relaxed with GGA-PBE and λ = 1.5418 Å (Cu Kα).

Structural model:
Lattice parameters (Å, degrees): 15.102 15.102 15.102 14.82 14.82 14.82
Element x y z (fractional)
Li (0.000, 0.000, 0.000)
Ca (0.202, 0.202, 0.202)
Ca (0.394, 0.394, 0.394)
Ca (0.606, 0.606, 0.606)
Ca (0.798, 0.798, 0.798)
F (0.043, 0.043, 0.043)
F (0.149, 0.149, 0.149)
F (0.256, 0.256, 0.256)
F (0.337, 0.337, 0.337)
F (0.446, 0.446, 0.446)
F (0.554, 0.554, 0.554)
F (0.663, 0.663, 0.663)
F (0.744, 0.744, 0.744)
F (0.851, 0.851, 0.851)
F (0.957, 0.957, 0.957)

Main lines, sorted by position (15 to 90 degrees two-theta):
d (Å)  I/Imax
3.158  88
2.987  33
2.077  38
1.948  100
1.866  48
1.632  26



Diffraction record for Li2CaF4. The powder XRD pattern is calculated, not measured: it uses a cell relaxed with GGA-PBE and λ = 1.5418 Å (Cu Kα).

Structural model:
Lattice parameters (Å, degrees): 5.115 5.115 9.873 90.00 90.00 144.13
Element x y z (fractional)
Li (0.130, 0.870, 0.562)
Li (0.130, 0.870, 0.938)
Li (0.870, 0.130, 0.062)
Li (0.870, 0.130, 0.438)
Ca (0.389, 0.611, 0.750)
Ca (0.611, 0.389, 0.250)
F (0.057, 0.943, 0.750)
F (0.220, 0.780, 0.114)
F (0.220, 0.780, 0.386)
F (0.500, 0.500, 0.000)
F (0.500, 0.500, 0.500)
F (0.780, 0.220, 0.614)
F (0.780, 0.220, 0.886)
F (0.943, 0.057, 0.250)

Main lines, sorted by position (15 to 90 degrees two-theta):
d (Å)  I/Imax
4.937  22
4.365  45
2.216  40
2.203  100
2.182  15
2.055  30